No. 1
Theoretical powder diffraction line list of HfCrP for Cu Kα X-rays, from a GGA-PBE-relaxed structure.

Main lines, by angle (2θ from 15° to 90°):
two_theta  d [Å]  I_rel
18.22  4.869  19
27.35  3.261  50
28.00  3.187  27
37.22  2.416  100
37.62  2.391  23
38.48  2.339  54
39.54  2.279  86
50.47  1.808  25
56.92  1.618  18
65.20  1.431  31

Structure:
Cell: 6.374 3.616 7.545 Å, 90.00 90.00 90.00°
Fractional positions:
Hf 0.032 0.250 0.174
Hf 0.468 0.750 0.674
Hf 0.532 0.250 0.326
Hf 0.968 0.750 0.826
Cr 0.140 0.250 0.559
Cr 0.360 0.750 0.059
Cr 0.640 0.250 0.941
Cr 0.860 0.750 0.441
P 0.229 0.750 0.368
P 0.271 0.250 0.868
P 0.729 0.750 0.132
P 0.771 0.250 0.632

=====

No. 2
Theoretical powder diffraction line list of HfCrRu2 for Cu Kα X-rays, from a GGA-PBE-relaxed structure.

Main lines, by angle (2θ from 15° to 90°):
two_theta  d [Å]  I_rel
31.87  2.808  22
40.46  2.229  53
40.92  2.206  100
58.56  1.576  17
59.94  1.543  7
61.31  1.512  6
73.90  1.282  34
74.83  1.269  15
87.52  1.115  6
88.71  1.103  10

Structure:
Cell: 3.153 3.153 6.173 Å, 90.00 90.00 90.00°
Fractional positions:
Hf 0.000 0.000 0.000
Cr 0.000 0.000 0.500
Ru 0.500 0.500 0.268
Ru 0.500 0.500 0.732

=====

No. 3
Theoretical powder diffraction line list of Hf3CrS8 for Cu Kα X-rays, from a GGA-PBE-relaxed structure.

Main lines, by angle (2θ from 15° to 90°):
two_theta  d [Å]  I_rel
26.18  3.404  20
29.37  3.041  98
30.40  2.940  19
33.98  2.638  100
34.16  2.625  52
36.66  2.451  29
42.64  2.120  40
42.91  2.108  19
46.33  1.960  39
51.47  1.776  31

Structure:
Cell: 7.102 7.102 7.974 Å, 116.85 116.85 59.97°
Fractional positions:
Hf 0.000 0.000 0.000
Hf 0.000 0.500 0.000
Hf 0.500 0.000 0.000
Cr 0.500 0.500 0.000
S 0.241 0.241 0.220
S 0.253 0.730 0.210
S 0.270 0.270 0.790
S 0.270 0.747 0.790
S 0.730 0.253 0.210
S 0.730 0.730 0.210
S 0.747 0.270 0.790
S 0.759 0.759 0.780

=====

No. 4
Theoretical powder diffraction line list of HfCrSeS2 for Cu Kα X-rays, from a GGA-PBE-relaxed structure.

Main lines, by angle (2θ from 15° to 90°):
two_theta  d [Å]  I_rel
15.93  5.562  36
21.21  4.189  53
30.18  2.962  58
32.19  2.781  59
34.30  2.614  100
38.87  2.317  22
43.20  2.094  51
44.70  2.027  40
54.88  1.673  49
73.50  1.288  22

Structure:
Cell: 4.189 4.189 5.562 Å, 90.00 90.00 90.00°
Fractional positions:
Hf 0.000 0.000 0.000
Cr 0.000 0.000 0.500
Se 0.500 0.500 0.000
S 0.000 0.500 0.500
S 0.500 0.000 0.500

=====

No. 5
Theoretical powder diffraction line list of HfCrSi2 for Cu Kα X-rays, from a GGA-PBE-relaxed structure.

Main lines, by angle (2θ from 15° to 90°):
two_theta  d [Å]  I_rel
28.93  3.086  38
30.61  2.921  45
35.21  2.549  23
38.35  2.347  47
38.55  2.335  100
40.90  2.207  43
41.03  2.200  81
43.59  2.076  24
45.40  1.998  32
62.76  1.481  39

Structure:
Cell: 9.040 9.721 7.990 Å, 90.00 90.00 90.00°
Fractional positions:
Hf 0.169 0.180 0.000
Hf 0.172 0.452 0.246
Hf 0.172 0.452 0.754
Hf 0.328 0.952 0.246
Hf 0.328 0.952 0.754
Hf 0.331 0.680 0.000
Hf 0.669 0.320 0.000
Hf 0.672 0.048 0.246
Hf 0.672 0.048 0.754
Hf 0.828 0.548 0.246
Hf 0.828 0.548 0.754
Hf 0.831 0.820 0.000
Cr 0.000 0.000 0.244
Cr 0.000 0.000 0.756
Cr 0.079 0.752 0.249
Cr 0.079 0.752 0.751
Cr 0.421 0.252 0.249
Cr 0.421 0.252 0.751
Cr 0.500 0.500 0.244
Cr 0.500 0.500 0.756
Cr 0.579 0.748 0.249
Cr 0.579 0.748 0.751
Cr 0.921 0.248 0.249
Cr 0.921 0.248 0.751
Si 0.039 0.620 0.000
Si 0.040 0.625 0.500
Si 0.112 0.902 0.500
Si 0.126 0.896 0.000
Si 0.171 0.181 0.351
Si 0.171 0.181 0.649
Si 0.329 0.681 0.351
Si 0.329 0.681 0.649
Si 0.374 0.396 0.000
Si 0.388 0.402 0.500
Si 0.460 0.125 0.500
Si 0.461 0.120 0.000
Si 0.539 0.880 0.000
Si 0.540 0.875 0.500
Si 0.612 0.598 0.500
Si 0.626 0.604 0.000
Si 0.671 0.319 0.351
Si 0.671 0.319 0.649
Si 0.829 0.819 0.351
Si 0.829 0.819 0.649
Si 0.874 0.104 0.000
Si 0.888 0.098 0.500
Si 0.960 0.375 0.500
Si 0.961 0.380 0.000

=====

No. 6
Theoretical powder diffraction line list of Hf8CrSn2 for Cu Kα X-rays, from a GGA-PBE-relaxed structure.

Main lines, by angle (2θ from 15° to 90°):
two_theta  d [Å]  I_rel
30.13  2.966  16
35.73  2.513  37
36.18  2.483  36
37.81  2.379  12
37.94  2.371  100
59.01  1.565  14
65.65  1.422  20
68.91  1.363  11
70.93  1.329  17
75.69  1.257  11

Structure:
Cell: 8.240 8.240 8.240 Å, 144.48 133.38 59.95°
Fractional positions:
Hf 0.130 0.370 0.760
Hf 0.178 0.178 0.000
Hf 0.252 0.000 0.252
Hf 0.391 0.630 0.760
Hf 0.609 0.370 0.240
Hf 0.748 0.000 0.748
Hf 0.822 0.822 0.000
Hf 0.870 0.630 0.240
Cr 0.000 0.500 0.500
Sn 0.313 0.813 0.500
Sn 0.687 0.187 0.500

=====

No. 7
Theoretical powder diffraction line list of SrHf2Cr for Cu Kα X-rays, from a GGA-PBE-relaxed structure.

Main lines, by angle (2θ from 15° to 90°):
two_theta  d [Å]  I_rel
24.34  3.657  39
28.63  3.118  100
29.93  2.986  92
37.92  2.373  27
45.57  1.990  38
49.88  1.828  66
52.33  1.748  22
59.26  1.559  41
69.85  1.346  25
81.05  1.186  17

Structure:
Cell: 7.313 7.313 7.313 Å, 60.00 60.00 60.00°
Fractional positions:
Sr 0.125 0.125 0.125
Sr 0.875 0.875 0.875
Hf 0.000 0.500 0.500
Hf 0.500 0.000 0.500
Hf 0.500 0.500 0.000
Hf 0.500 0.500 0.500
Cr 0.375 0.375 0.375
Cr 0.625 0.625 0.625

=====

No. 8
Theoretical powder diffraction line list of Hf2TaCr2 for Cu Kα X-rays, from a GGA-PBE-relaxed structure.

Main lines, by angle (2θ from 15° to 90°):
two_theta  d [Å]  I_rel
28.37  3.146  36
31.70  2.823  23
34.89  2.571  98
37.78  2.381  100
40.42  2.232  20
40.69  2.217  40
45.44  1.996  41
62.62  1.483  31
64.38  1.447  19
66.26  1.411  26

Structure:
Cell: 6.312 6.312 4.434 Å, 90.00 90.00 90.00°
Fractional positions:
Hf 0.178 0.322 0.000
Hf 0.322 0.822 0.000
Hf 0.678 0.178 0.000
Hf 0.822 0.678 0.000
Ta 0.000 0.000 0.500
Ta 0.500 0.500 0.500
Cr 0.121 0.621 0.500
Cr 0.379 0.121 0.500
Cr 0.621 0.879 0.500
Cr 0.879 0.379 0.500

=====

Question: Number 7 is which compound?
Answer: SrHf2Cr